Entry 1:
Diffraction record for Tb12Ho2Er5. The X-ray powder pattern is computed, not measured: it uses a GGA-PBE-relaxed structure and λ = 1.5418 Å (Cu Kα).

Structural model:
```
data_Tb12Ho2Er5
_space_group_name_H-M_alt 'P 1'
_space_group_IT_number 1
_space_group_name_Hall 'P 1'
_cell_length_a 6.737
_cell_length_b 8.567
_cell_length_c 11.706
_cell_angle_alpha 105.27
_cell_angle_beta 103.38
_cell_angle_gamma 103.83
loop_
_atom_site_label
_atom_site_type_symbol
_atom_site_fract_x
_atom_site_fract_y
_atom_site_fract_z
Tb1 Tb 0.024 0.140 0.204
Tb2 Tb 0.090 0.356 0.534
Tb3 Tb 0.190 0.798 0.150
Tb4 Tb 0.296 0.200 0.762
Tb5 Tb 0.323 0.380 0.071
Tb6 Tb 0.359 0.583 0.376
Tb7 Tb 0.641 0.417 0.624
Tb8 Tb 0.677 0.620 0.929
Tb9 Tb 0.704 0.800 0.238
Tb10 Tb 0.810 0.202 0.850
Tb11 Tb 0.910 0.644 0.466
Tb12 Tb 0.976 0.860 0.796
Ho1 Ho 0.238 0.998 0.454
Ho2 Ho 0.762 0.002 0.546
Er1 Er 0.144 0.559 0.853
Er2 Er 0.416 0.787 0.688
Er3 Er 0.500 0.000 0.000
Er4 Er 0.584 0.213 0.312
Er5 Er 0.856 0.441 0.147
```

Principal peaks in the range 10° ≤ 2θ ≤ 80°, low angle first:
d/Å, two_theta, intensity
2.976, 30.03, 52
2.847, 31.42, 30
2.831, 31.60, 72
2.796, 32.00, 98
2.794, 32.03, 100
2.748, 32.58, 96
2.738, 32.70, 92
2.678, 33.46, 40
1.731, 52.91, 23
1.467, 63.41, 25

Entry 2:
Diffraction record for ThRePb. The X-ray powder pattern is computed, not measured: it uses a GGA-PBE-relaxed structure and λ = 1.5418 Å (Cu Kα).

Structural model:
```
data_ThRePb
_space_group_name_H-M_alt 'P 1'
_space_group_IT_number 1
_space_group_name_Hall 'P 1'
_cell_length_a 4.349
_cell_length_b 4.349
_cell_length_c 10.204
_cell_angle_alpha 90.00
_cell_angle_beta 90.00
_cell_angle_gamma 120.00
loop_
_atom_site_label
_atom_site_type_symbol
_atom_site_fract_x
_atom_site_fract_y
_atom_site_fract_z
Th1 Th 0.000 0.000 0.192
Th2 Th 0.000 0.000 0.808
Re1 Re 0.333 0.667 0.977
Re2 Re 0.667 0.333 0.023
Pb1 Pb 0.333 0.667 0.419
Pb2 Pb 0.667 0.333 0.581
```

Principal peaks in the range 10° ≤ 2θ ≤ 80°, low angle first:
d/Å, two_theta, intensity
3.534, 25.20, 11
3.030, 29.48, 100
2.524, 35.56, 40
2.175, 41.53, 56
2.112, 42.81, 17
2.041, 44.39, 11
1.767, 51.74, 22
1.648, 55.80, 11
1.488, 62.40, 25
1.371, 68.42, 19

Entry 3:
Diffraction record for CeDyAu6. The X-ray powder pattern is computed, not measured: it uses a GGA-PBE-relaxed structure and λ = 1.5418 Å (Cu Kα).

Structural model:
```
data_CeDyAu6
_space_group_name_H-M_alt 'P 1'
_space_group_IT_number 1
_space_group_name_Hall 'P 1'
_cell_length_a 4.932
_cell_length_b 4.932
_cell_length_c 8.579
_cell_angle_alpha 107.41
_cell_angle_beta 107.41
_cell_angle_gamma 59.56
loop_
_atom_site_label
_atom_site_type_symbol
_atom_site_fract_x
_atom_site_fract_y
_atom_site_fract_z
Ce1 Ce 0.000 0.000 0.000
Dy1 Dy 0.500 0.500 0.500
Au1 Au 0.128 0.128 0.381
Au2 Au 0.250 0.250 0.751
Au3 Au 0.377 0.377 0.131
Au4 Au 0.623 0.623 0.869
Au5 Au 0.750 0.750 0.249
Au6 Au 0.872 0.872 0.619
```

Principal peaks in the range 10° ≤ 2θ ≤ 80°, low angle first:
d/Å, two_theta, intensity
2.468, 36.41, 100
2.451, 36.66, 49
1.757, 52.05, 9
1.733, 52.82, 17
1.430, 65.26, 5
1.427, 65.38, 14
1.420, 65.76, 9
1.418, 65.88, 27
1.235, 77.26, 6
1.233, 77.41, 6

Entry 4:
Diffraction record for Tb6Nd4Ho. The X-ray powder pattern is computed, not measured: it uses a GGA-PBE-relaxed structure and λ = 1.5418 Å (Cu Kα).

Structural model:
```
data_Tb6Nd4Ho
_space_group_name_H-M_alt 'P 1'
_space_group_IT_number 1
_space_group_name_Hall 'P 1'
_cell_length_a 8.567
_cell_length_b 8.567
_cell_length_c 8.567
_cell_angle_alpha 126.81
_cell_angle_beta 126.81
_cell_angle_gamma 78.57
loop_
_atom_site_label
_atom_site_type_symbol
_atom_site_fract_x
_atom_site_fract_y
_atom_site_fract_z
Tb1 Tb 0.000 0.500 0.500
Tb2 Tb 0.052 0.579 0.000
Tb3 Tb 0.421 0.421 0.473
Tb4 Tb 0.500 0.000 0.500
Tb5 Tb 0.579 0.052 0.000
Tb6 Tb 0.948 0.948 0.527
Nd1 Nd 0.248 0.248 0.650
Nd2 Nd 0.402 0.752 0.000
Nd3 Nd 0.598 0.598 0.350
Nd4 Nd 0.752 0.402 0.000
Ho1 Ho 0.000 0.000 0.000
```

Principal peaks in the range 10° ≤ 2θ ≤ 80°, low angle first:
d/Å, two_theta, intensity
6.632, 13.35, 23
3.835, 23.19, 21
3.320, 26.85, 100
2.829, 31.63, 90
2.712, 33.04, 85
2.509, 35.79, 60
2.278, 39.56, 19
1.958, 46.38, 26
1.660, 55.33, 46
1.522, 60.88, 22

Entry 5:
Diffraction record for Ba6SrHPd. The X-ray powder pattern is computed, not measured: it uses a GGA-PBE-relaxed structure and λ = 1.5418 Å (Cu Kα).

Structural model:
```
data_Ba6SrHPd
_space_group_name_H-M_alt 'P 1'
_space_group_IT_number 1
_space_group_name_Hall 'P 1'
_cell_length_a 8.298
_cell_length_b 8.298
_cell_length_c 7.883
_cell_angle_alpha 90.12
_cell_angle_beta 90.12
_cell_angle_gamma 120.16
loop_
_atom_site_label
_atom_site_type_symbol
_atom_site_fract_x
_atom_site_fract_y
_atom_site_fract_z
Ba1 Ba 0.102 0.496 0.731
Ba2 Ba 0.103 0.103 0.269
Ba3 Ba 0.504 0.898 0.269
Ba4 Ba 0.505 0.103 0.732
Ba5 Ba 0.897 0.495 0.268
Ba6 Ba 0.897 0.897 0.731
Sr1 Sr 0.501 0.499 0.000
H1 H 0.835 0.165 0.500
Pd1 Pd 0.168 0.832 0.500
```

Principal peaks in the range 10° ≤ 2θ ≤ 80°, low angle first:
d/Å, two_theta, intensity
7.180, 12.33, 20
5.308, 16.70, 32
3.942, 22.56, 24
3.671, 24.24, 100
3.590, 24.80, 36
2.859, 31.28, 45
2.569, 34.93, 31
2.393, 37.58, 25
2.220, 40.64, 26
1.932, 47.04, 28

Entry 6:
Diffraction record for PmSmCu. The X-ray powder pattern is computed, not measured: it uses a GGA-PBE-relaxed structure and λ = 1.5418 Å (Cu Kα).

Structural model:
```
data_PmSmCu
_space_group_name_H-M_alt 'P 1'
_space_group_IT_number 1
_space_group_name_Hall 'P 1'
_cell_length_a 7.098
_cell_length_b 7.098
_cell_length_c 6.866
_cell_angle_alpha 112.08
_cell_angle_beta 112.08
_cell_angle_gamma 31.02
loop_
_atom_site_label
_atom_site_type_symbol
_atom_site_fract_x
_atom_site_fract_y
_atom_site_fract_z
Pm1 Pm 0.000 0.000 0.000
Pm2 Pm 0.726 0.726 0.979
Sm1 Sm 0.033 0.033 0.536
Sm2 Sm 0.306 0.306 0.552
Cu1 Cu 0.403 0.403 0.194
Cu2 Cu 0.630 0.630 0.345
```

Principal peaks in the range 10° ≤ 2θ ≤ 80°, low angle first:
d/Å, two_theta, intensity
3.161, 28.23, 49
3.008, 29.70, 55
2.856, 31.31, 58
2.816, 31.78, 100
2.531, 35.47, 57
2.462, 36.50, 40
2.444, 36.77, 41
2.219, 40.65, 27
1.898, 47.92, 27
1.626, 56.59, 34